Diffraction record for Nd2Ta2MoN6. The powder XRD pattern is theoretical, not measured: it uses a structure optimized by DFT (GGA-PBE) and a wavelength of 1.5418 Å.
Neutral-atom scattering factors, no anomalous dispersion.

Structure:
a b c (Å): 9.646 9.646 9.646
angles (deg): 156.10 156.10 34.05
Positions (direct):
Nd: 0.176 0.176 0.000
Nd: 0.824 0.824 0.000
Ta: 0.412 0.412 0.000
Ta: 0.588 0.588 0.000
Mo: 0.000 0.000 0.000
N: 0.073 0.573 0.500
N: 0.305 0.305 0.000
N: 0.427 0.927 0.500
N: 0.573 0.073 0.500
N: 0.695 0.695 0.000
N: 0.927 0.427 0.500

Most intense lines, 2θ from 10° to 90°, by angle:
Position (°2θ)	I (rel.)
31.68	76.5
33.05	100.0
41.03	25.4
45.41	36.9
57.31	42.4
62.85	14.2
69.63	13.3
75.23	13.1